Diffraction record for AcTbHo4S8. The X-ray diffraction stick pattern is calculated, not measured: it uses DFT lattice parameters and positions (PBE) and Cu Ka.
Lines closer than 0.1° are merged.

Structural model:
```
14
Lattice="4.0689 2.3492 6.6679 -4.0689 2.3492 6.6679 0.0000 -4.6984 6.6679" Properties=species:S:1:pos:R:3 pbc="T T T"
Ac 0.0000 0.0000 0.0000
Tb 0.0000 0.0000 12.4630
Ho -1.9986 -1.1539 9.1922
Ho 0.0000 0.0000 5.0161
Ho 1.9986 -1.1539 9.1922
Ho 0.0000 2.3077 9.1922
S 0.0000 -2.2467 10.7821
S -1.9457 1.1234 10.7821
S 0.0000 0.0000 7.6411
S -1.7888 -1.0328 14.2974
S 1.9457 1.1233 10.7821
S 0.0000 0.0000 17.1935
S 1.7888 -1.0328 14.2974
S 0.0000 2.0655 14.2974
```

Most intense lines, 15 to 90 degrees two-theta, by angle:
| two_theta | I/Imax |
| --- | --- |
| 21.82 | 33 |
| 25.64 | 100 |
| 26.80 | 13 |
| 31.05 | 12 |
| 40.64 | 12 |
| 40.71 | 33 |
| 44.43 | 27 |
| 44.54 | 27 |
| 61.89 | 19 |
| 81.99 | 13 |